# 1
This entry pairs a crystal structure of VAu3 with its computed powder XRD pattern. Radiation: Cu Kα, 1.54184 Å. Structure: a DFT-relaxed cell (GGA-PBE, the Materials Project).
No peak broadening, texture or thermal motion is included.

Top 12 peaks for 2θ = 10–90°, by intensity:
d [Å]  I_rel
2.231  100
2.350  26
2.535  24
1.242  21
1.333  19
3.447  18
1.463  18
1.723  15
1.224  15
2.927  7
5.069  5
1.774  4

```
8
Lattice="5.854 0.000 0.000 -2.927 5.069 0.000 0.000 0.000 4.700" Properties=species:S:1:pos:R:3 pbc="T T T"
V 0.000 3.380 1.175
V 2.927 1.690 3.525
Au 0.000 1.717 3.525
Au -1.440 4.211 3.525
Au 1.487 0.859 1.175
Au 1.440 4.211 3.525
Au 4.367 0.859 1.175
Au 2.927 3.352 1.175
```


# 2
This entry pairs a crystal structure of VAu4 with its computed powder XRD pattern. Radiation: Cu Kα, 1.54184 Å. Structure: a DFT-relaxed cell (GGA-PBE, the Materials Project).
No peak broadening, texture or thermal motion is included.

Top 12 peaks for 2θ = 10–90°, by intensity:
d [Å]  I_rel
2.370  100
2.063  34
1.243  25
1.448  22
2.032  15
1.229  13
1.185  11
1.459  11
3.449  9
4.614  5
3.263  5
1.653  3

```
10
Lattice="6.525 0.000 0.000 0.000 6.525 0.000 0.000 0.000 4.063" Properties=species:S:1:pos:R:3 pbc="T T T"
V 0.000 0.000 0.000
V 3.263 3.263 2.032
Au 0.675 1.925 2.032
Au 1.338 3.938 0.000
Au 1.925 5.850 2.032
Au 2.588 1.338 0.000
Au 3.938 5.187 0.000
Au 4.601 0.675 2.032
Au 5.187 2.588 0.000
Au 5.850 4.601 2.032
```


# 3
This entry pairs a crystal structure of V3Au with its computed powder XRD pattern. Radiation: Cu Kα, 1.54184 Å. Structure: a DFT-relaxed cell (GGA-PBE, the Materials Project).
No peak broadening, texture or thermal motion is included.

Top 12 peaks for 2θ = 10–90°, by intensity:
d [Å]  I_rel
1.993  100
3.451  78
1.305  50
2.441  46
2.183  21
1.544  17
1.091  15
1.726  12
1.150  11
1.220  9
1.354  4
1.409  1

```
8
Lattice="4.881 0.000 0.000 0.000 4.881 0.000 0.000 0.000 4.881" Properties=species:S:1:pos:R:3 pbc="T T T"
V 0.000 1.220 2.441
V 0.000 3.661 2.441
V 1.220 2.441 0.000
V 2.441 0.000 1.220
V 2.441 0.000 3.661
V 3.661 2.441 0.000
Au 0.000 0.000 0.000
Au 2.441 2.441 2.441
```


# 4
This entry pairs a crystal structure of WAu3 with its computed powder XRD pattern. Radiation: Cu Kα, 1.54184 Å. Structure: a DFT-relaxed cell (GGA-PBE, the Materials Project).
No peak broadening, texture or thermal motion is included.

Top 7 peaks for 2θ = 10–90°, by intensity:
d [Å]  I_rel
2.372  100
2.121  36
1.268  28
1.186  23
1.430  21
1.936  14
1.500  12

```
8
Lattice="4.243 0.000 0.000 0.000 4.243 0.000 0.000 0.000 7.744" Properties=species:S:1:pos:R:3 pbc="T T T"
W 0.000 0.000 0.000
W 2.121 2.121 3.872
Au 0.000 0.000 3.872
Au 0.000 2.121 1.936
Au 0.000 2.121 5.808
Au 2.121 0.000 1.936
Au 2.121 0.000 5.808
Au 2.121 2.121 0.000
```


# 5
This entry pairs a crystal structure of Y3Au2 with its computed powder XRD pattern. Radiation: Cu Kα, 1.54184 Å. Structure: a DFT-relaxed cell (GGA-PBE, the Materials Project).
No peak broadening, texture or thermal motion is included.

Top 12 peaks for 2θ = 10–90°, by intensity:
d [Å]  I_rel
2.639  100
2.595  41
1.414  19
5.802  16
1.532  16
3.797  16
3.670  14
1.952  14
2.142  13
1.898  11
2.051  11
1.355  10

```
10
Lattice="8.206 0.000 0.000 0.000 8.206 0.000 0.000 0.000 3.797" Properties=species:S:1:pos:R:3 pbc="T T T"
Y 0.000 0.000 0.000
Y 1.328 2.775 1.898
Y 2.775 6.878 1.898
Y 4.103 4.103 0.000
Y 5.431 1.328 1.898
Y 6.878 5.431 1.898
Au 1.093 5.196 0.000
Au 3.010 1.093 0.000
Au 5.196 7.113 0.000
Au 7.113 3.010 0.000
```


# 6
This entry pairs a crystal structure of YAu with its computed powder XRD pattern. Radiation: Cu Kα, 1.54184 Å. Structure: a DFT-relaxed cell (GGA-PBE, the Materials Project).
No peak broadening, texture or thermal motion is included.

Top 9 peaks for 2θ = 10–90°, by intensity:
d [Å]  I_rel
2.557  100
1.476  37
1.808  18
1.143  16
3.616  16
1.278  11
1.617  7
2.087  5
1.205  4

```
2
Lattice="3.616 0.000 0.000 0.000 3.616 0.000 0.000 0.000 3.616" Properties=species:S:1:pos:R:3 pbc="T T T"
Y 0.000 0.000 0.000
Au 1.808 1.808 1.808
```